Simulated X-ray powder pattern
Compound: Ni5PH
Radiation: Cu Kα (weighted mean of Kα1 and Kα2)
Structure: a crystal structure in Alexandria, relaxed with GGA-PBE
Kinematic intensities with the Lorentz-polarization factor, no thermal factor.

Peak list (6 most intense, 15 to 90 degrees two-theta, sorted by position)
38.14 deg, intensity 100.0
38.59 deg, intensity 50.1
45.35 deg, intensity 82.0
45.52 deg, intensity 78.7
47.12 deg, intensity 63.3
48.46 deg, intensity 44.9

Atomic structure:
```
Ni5PH
1.0
4.0658 -2.9831 0.0000
4.0658 2.9831 0.0000
-2.0642 0.0000 6.0131
Ni P H
10 2 2
Cartesian
2.5176 2.5367 4.5098 Ni
0.4782 0.7321 3.8599 Ni
3.2219 1.2481 0.2135 Ni
1.5103 -0.7321 0.8533 Ni
3.8776 1.2481 2.7930 Ni
2.1898 -1.2481 3.2201 Ni
4.5570 0.7321 5.1598 Ni
2.8455 -1.2481 5.7995 Ni
5.5891 -0.7321 2.1532 Ni
3.5497 -2.5367 1.5033 Ni
2.5176 0.4259 4.5098 P
3.5497 -0.4259 1.5033 P
0.0000 0.0000 0.0000 H
-1.0321 0.0000 3.0065 H
```